1.
Starting from a structure optimized by DFT (GGA-PBE), the powder diffractogram of Pr4Ni13C4 was calculated for Cu Kα.
No peak broadening, texture or thermal motion is included.

Peak list (8 most intense, 10° ≤ 2θ ≤ 90°, low angle first)
| Position (°2θ) | d_spacing | I_rel | hkl |
| --- | --- | --- | --- |
| 32.5 | 2.751 | 658 | 1 3 1 |
| 32.8 | 2.734 | 361 | 3 1 1 |
| 33.5 | 2.678 | 267 | 4 2 0 |
| 37.4 | 2.406 | 541 | 0 4 1 |
| 40.7 | 2.218 | 1000 | 4 2 1 |
| 43.7 | 2.071 | 396 | 3 5 0 |
| 44.0 | 2.056 | 248 | 5 3 0 |
| 45.9 | 1.978 | 485 | 0 0 2 |

Lattice parameters (Å, degrees): 11.943 12.123 3.957 90.00 90.00 90.00
Space group Cmmm (No. 65)
Asymmetric unit:
Pr 0.000 0.191 0.000
Pr 0.154 0.500 0.000
Ni 0.000 0.000 0.500
Ni 0.109 0.325 0.500
Ni 0.120 0.000 0.000
Ni 0.181 0.110 0.500
Ni 0.250 0.250 0.000
C 0.000 0.444 0.500
C 0.250 0.250 0.500

---

2.
Starting from a structure optimized by DFT (GGA-PBE), the powder diffractogram of Ca3Si3Pd2 was calculated for Cu Kα.
No peak broadening, texture or thermal motion is included.

Peak list (8 most intense, 10° ≤ 2θ ≤ 90°, low angle first)
| Position (°2θ) | d_spacing | I_rel | hkl |
| --- | --- | --- | --- |
| 19.0 | 4.679 | 668 | 1 0 1 |
| 26.7 | 3.341 | 484 | 2 0 1 |
| 33.1 | 2.706 | 441 | 2 4 0 |
| 33.9 | 2.641 | 488 | 1 1 2 |
| 36.8 | 2.443 | 403 | 2 4 1 |
| 36.9 | 2.437 | 393 | 3 1 1 |
| 38.4 | 2.343 | 1000 | 1 3 2 |
| 41.1 | 2.197 | 439 | 3 3 1 |

Lattice parameters (Å, degrees): 8.240 14.353 5.684 90.00 90.00 90.00
Space group Pnma (No. 62)
Asymmetric unit:
Ca 0.050 0.115 0.119
Ca 0.201 0.250 0.605
Si 0.149 0.750 0.582
Si 0.196 0.040 0.631
Pd 0.085 0.590 0.389

---

3.
Starting from a structure optimized by DFT (GGA-PBE), the powder diffractogram of CsTl2GeCl5 was calculated for Cu Kα.
No peak broadening, texture or thermal motion is included.

Peak list (8 most intense, 10° ≤ 2θ ≤ 90°, low angle first)
| Position (°2θ) | d_spacing | I_rel | hkl |
| --- | --- | --- | --- |
| 22.8 | 3.907 | 284 | 0 0 4 |
| 23.2 | 3.835 | 1000 | 2 0 2 |
| 28.4 | 3.145 | 784 | 2 1 3 |
| 28.6 | 3.119 | 197 | 2 2 0 |
| 32.1 | 2.790 | 225 | 3 1 0 |
| 36.7 | 2.450 | 232 | 2 1 5 |
| 42.6 | 2.121 | 204 | 4 1 1 |
| 45.8 | 1.979 | 231 | 4 1 3 |

Lattice parameters (Å, degrees): 8.823 8.823 15.626 90.00 90.00 90.00
Space group I4/mcm (No. 140)
Asymmetric unit:
Cs 0.000 0.000 0.250
Tl 0.174 0.326 0.000
Ge 0.000 0.500 0.250
Cl 0.000 0.000 0.000
Cl 0.156 0.344 0.353

---

4.
Starting from a structure optimized by DFT (GGA-PBE), the powder diffractogram of Ta6GeMo5 was calculated for Cu Kα.
No peak broadening, texture or thermal motion is included.

Peak list (8 most intense, 10° ≤ 2θ ≤ 90°, low angle first)
| Position (°2θ) | d_spacing | I_rel | hkl |
| --- | --- | --- | --- |
| 27.6 | 3.226 | 119 | 1 0 3 |
| 39.4 | 2.289 | 1000 | 1 2 3 |
| 39.5 | 2.281 | 496 | 2 0 0 |
| 56.7 | 1.625 | 85 | 0 4 0 |
| 57.1 | 1.613 | 168 | 2 0 6 |
| 71.3 | 1.323 | 171 | 2 4 0 |
| 71.5 | 1.319 | 341 | 3 2 3 |
| 84.7 | 1.145 | 110 | 2 4 6 |

Lattice parameters (Å, degrees): 4.564 6.499 13.686 90.00 90.00 90.00
Space group Immm (No. 71)
Asymmetric unit:
Ta 0.000 0.241 0.000
Ta 0.000 0.253 0.331
Ge 0.000 0.000 0.500
Mo 0.000 0.000 0.168
Mo 0.000 0.500 0.161
Mo 0.000 0.500 0.500